Entry 1:
Diffraction record for CaCuSi. The XRD peak list is simulated, not measured: it uses a DFT-relaxed cell (GGA-PBE, the Materials Project) and a wavelength of 1.5418 Å.
Kinematic intensities with the Lorentz-polarization factor, no thermal factor.

Peak list (6 most intense, 2θ from 10° to 80°, by angle)
21.8°, rel. 16; 33.3°, rel. 100; 43.9°, rel. 46; 56.3°, rel. 20; 64.2°, rel. 27; 74.0°, rel. 17

Structural model:
```
CaCuSi
1.0
4.122 0.000 0.000
-2.061 3.570 0.000
0.000 0.000 4.081
Ca Cu Si
1 1 1
Cartesian
0.000 0.000 0.000
2.061 1.190 2.041
0.000 2.380 2.041
```

***

Entry 2:
Diffraction record for Ca3Cu8Sn4. The XRD peak list is simulated, not measured: it uses a DFT-relaxed cell (GGA-PBE, the Materials Project) and a wavelength of 1.5418 Å.
Kinematic intensities with the Lorentz-polarization factor, no thermal factor.

Peak list (6 most intense, 2θ from 10° to 80°, by angle)
11.2°, rel. 60; 32.3°, rel. 39; 36.6°, rel. 32; 39.4°, rel. 100; 41.7°, rel. 51; 46.1°, rel. 48

Structural model:
```
Ca3Cu8Sn4
1.0
9.144 0.000 0.000
-4.572 7.919 0.000
0.000 0.000 7.753
Ca Cu Sn
6 16 8
Cartesian
-1.953 4.152 0.000
1.953 4.152 0.000
0.000 7.534 0.000
4.572 0.385 3.877
2.619 3.767 3.877
6.525 3.767 3.877
0.000 0.000 1.703
0.000 0.000 5.580
0.000 1.629 7.533
-3.161 7.104 7.533
0.000 2.590 5.129
-2.329 6.623 5.129
1.411 0.815 3.656
2.243 1.295 1.253
0.000 5.279 2.635
4.572 2.640 6.511
2.329 6.623 5.129
3.161 7.104 7.533
6.900 1.295 1.253
4.572 5.328 1.253
7.732 0.815 3.656
4.572 6.289 3.656
0.000 2.676 2.245
-2.254 6.580 2.245
0.000 5.279 5.407
2.318 1.338 6.122
2.254 6.580 2.245
4.572 2.640 1.530
6.826 1.338 6.122
4.572 5.242 6.122
```

***

Entry 3:
Diffraction record for CaDy3. The XRD peak list is simulated, not measured: it uses a DFT-relaxed cell (GGA-PBE, the Materials Project) and a wavelength of 1.5418 Å.
Kinematic intensities with the Lorentz-polarization factor, no thermal factor.

Peak list (6 most intense, 2θ from 10° to 80°, by angle)
19.5°, rel. 15; 30.4°, rel. 100; 35.2°, rel. 34; 35.3°, rel. 17; 50.7°, rel. 36; 60.2°, rel. 28

Structural model:
```
CaDy3
1.0
-2.548 2.548 5.079
2.548 -2.548 5.079
2.548 2.548 -5.079
Ca Dy
1 3
Cartesian
0.000 0.000 0.000
2.548 0.000 2.539
0.000 0.000 5.079
0.000 2.548 2.539
```